Structure and calculated X-ray diffraction stick pattern of UCrRe (DFT lattice parameters and positions (GGA-PBE); a wavelength of 1.5418 Å).

a = 4.4738 Å, b = 4.3974 Å, c = 5.1734 Å
α = 90.00°, β = 110.21°, γ = 90.00°
Sites, in units of the cell vectors:
U: 0.0994 0.2500 0.1474
U: 0.9006 0.7500 0.8526
Cr: 0.3775 0.2500 0.8404
Cr: 0.6225 0.7500 0.1596
Re: 0.2514 0.7500 0.5204
Re: 0.7486 0.2500 0.4796

Largest 10 diffraction maxima, in order of rising 2θ, 10° ≤ 2θ ≤ 90°:
2θ = 21.16°, I = 21, hkl 1 0 0
2θ = 22.72°, I = 18, hkl 1 0 -1
2θ = 27.36°, I = 29, hkl 0 1 1
2θ = 38.70°, I = 100, hkl 1 1 1
2θ = 40.50°, I = 41, hkl 2 0 -1
2θ = 41.05°, I = 43, hkl 0 2 0
2θ = 41.41°, I = 76, hkl 1 1 -2
2θ = 59.03°, I = 27, hkl 2 2 -1
2θ = 70.63°, I = 16, hkl 3 1 0
2θ = 73.22°, I = 16, hkl 1 3 1